(1)
Diffraction record for BaYMn2O5. The powder XRD pattern is calculated, not measured: it uses the PBE+U geometry in the Materials Project and Cu Kα, 1.54184 Å.

Most intense lines, 2θ = 5–70°, low angle first:
2θ 31.8, 2.812 Å, I = 42, hkl 1 1 0
2θ 32.2, 2.782 Å, I = 100, hkl 1 0 2
2θ 39.5, 2.280 Å, I = 17, hkl 1 1 2
2θ 45.6, 1.988 Å, I = 31, hkl 2 0 0
2θ 56.9, 1.618 Å, I = 38, hkl 2 1 2
2θ 57.6, 1.601 Å, I = 22, hkl 1 1 4

```
data_BaYMn2O5
_cell_length_a 3.9766
_cell_length_b 3.9766
_cell_length_c 7.7866
_cell_angle_alpha 90.00
_cell_angle_beta 90.00
_cell_angle_gamma 90.00
_space_group_name_H-M_alt 'P 4/m m m'
_space_group_IT_number 123
_space_group_name_Hall '-P 4 2'
loop_
_atom_site_label
_atom_site_type_symbol
_atom_site_fract_x
_atom_site_fract_y
_atom_site_fract_z
Ba1 Ba 0.0000 0.0000 0.0000
Y1 Y 0.0000 0.0000 0.5000
Mn1 Mn 0.5000 0.5000 0.2671
O1 O 0.0000 0.5000 0.3184
O2 O 0.5000 0.5000 0.0000
```

---

(2)
Diffraction record for BaMn4ZnO8. The powder XRD pattern is calculated, not measured: it uses the PBE+U geometry in the Materials Project and Cu Kα, 1.54184 Å.

Most intense lines, 2θ = 5–70°, low angle first:
2θ 31.1, 2.878 Å, I = 100, hkl 1 0 2
2θ 32.6, 2.750 Å, I = 88, hkl 1 1 0
2θ 45.6, 1.988 Å, I = 37, hkl 2 0 2
2θ 57.2, 1.611 Å, I = 36, hkl 2 1 2
2θ 58.1, 1.588 Å, I = 26, hkl 3 0 0
2θ 61.4, 1.510 Å, I = 32, hkl 2 -1 4

```
data_BaMn4ZnO8
_cell_length_a 5.5004
_cell_length_b 5.5004
_cell_length_c 7.2233
_cell_angle_alpha 90.00
_cell_angle_beta 90.00
_cell_angle_gamma 120.00
_space_group_name_H-M_alt 'P -3 1 m'
_space_group_IT_number 162
_space_group_name_Hall '-P 3 2'
loop_
_atom_site_label
_atom_site_type_symbol
_atom_site_fract_x
_atom_site_fract_y
_atom_site_fract_z
Ba1 Ba 0.0000 0.0000 0.0000
Mn1 Mn 0.3333 0.6667 0.2618
Zn1 Zn 0.0000 0.0000 0.5000
O1 O 0.0000 0.3116 0.3193
O2 O 0.3333 0.6667 0.0000
```

---

(3)
Diffraction record for Ba7Nb4MoO20. The powder XRD pattern is calculated, not measured: it uses the PBE+U geometry in the Materials Project and Cu Kα, 1.54184 Å.

Most intense lines, 2θ = 5–70°, low angle first:
2θ 27.3, 3.264 Å, I = 99, hkl 0 1 4
2θ 29.9, 2.987 Å, I = 100, hkl 1 1 0
2θ 41.0, 2.204 Å, I = 48, hkl 2 0 4
2θ 51.5, 1.773 Å, I = 33, hkl 1 2 4
2θ 53.1, 1.724 Å, I = 20, hkl 3 0 0
2θ 62.2, 1.493 Å, I = 19, hkl 2 2 0

```
data_Ba7Nb4MoO20
_cell_length_a 5.9736
_cell_length_b 5.9736
_cell_length_c 16.8312
_cell_angle_alpha 90.00
_cell_angle_beta 90.00
_cell_angle_gamma 120.00
_space_group_name_H-M_alt 'P 3 m 1'
_space_group_IT_number 156
_space_group_name_Hall 'P 3 -2"'
loop_
_atom_site_label
_atom_site_type_symbol
_atom_site_fract_x
_atom_site_fract_y
_atom_site_fract_z
Ba1 Ba 0.0000 0.0000 0.0000
Ba2 Ba 0.0000 0.0000 0.2489
Ba3 Ba 0.3333 0.6667 0.1106
Ba4 Ba 0.3333 0.6667 0.5435
Ba5 Ba 0.3333 0.6667 0.8146
Ba6 Ba 0.6667 0.3333 0.3963
Ba7 Ba 0.6667 0.3333 0.6457
Nb1 Nb 0.0000 0.0000 0.4732
Nb2 Nb 0.0000 0.0000 0.7277
Nb3 Nb 0.3333 0.6667 0.3238
Nb4 Nb 0.6667 0.3333 0.1722
Mo1 Mo 0.6667 0.3333 0.9184
O1 O 0.0000 0.0000 0.8393
O2 O 0.0081 0.5041 0.2529
O3 O 0.1705 0.3410 0.3901
O4 O 0.1708 0.3415 0.6911
O5 O 0.3230 0.1615 0.5259
O6 O 0.3451 0.1726 0.1172
O7 O 0.5021 0.0041 0.9528
O8 O 0.6667 0.3333 0.8117
```

---

(4)
Diffraction record for Ba2Mo3O7. The powder XRD pattern is calculated, not measured: it uses the PBE+U geometry in the Materials Project and Cu Kα, 1.54184 Å.

Most intense lines, 2θ = 5–70°, low angle first:
2θ 26.4, 3.373 Å, I = 41, hkl 0 1 2
2θ 26.6, 3.353 Å, I = 52, hkl 1 0 2
2θ 31.0, 2.887 Å, I = 100, hkl 1 1 0
2θ 31.4, 2.847 Å, I = 62, hkl 0 1 3
2θ 31.6, 2.835 Å, I = 72, hkl 1 0 -3
2θ 49.7, 1.833 Å, I = 44, hkl 1 1 5

```
data_Ba2Mo3O7
_cell_length_a 4.0647
_cell_length_b 4.1005
_cell_length_c 11.8677
_cell_angle_alpha 90.00
_cell_angle_beta 90.08
_cell_angle_gamma 90.00
_space_group_name_H-M_alt 'P 1 m 1'
_space_group_IT_number 6
_space_group_name_Hall 'P -2y'
loop_
_atom_site_label
_atom_site_type_symbol
_atom_site_fract_x
_atom_site_fract_y
_atom_site_fract_z
Ba1 Ba 0.0000 0.0000 0.0000
Ba2 Ba 0.0027 0.0000 0.4040
Mo1 Mo 0.4996 0.5000 0.8324
Mo2 Mo 0.5014 0.5000 0.2020
Mo3 Mo 0.5032 0.5000 0.5716
O1 O 0.9995 0.5000 0.8465
O2 O 0.0033 0.5000 0.5585
O3 O 0.4995 0.0000 0.8439
O4 O 0.4998 0.5000 0.0291
O5 O 0.5015 0.0000 0.2020
O6 O 0.5033 0.0000 0.5588
O7 O 0.5029 0.5000 0.3750
```

---

(5)
Diffraction record for BaMoO2. The powder XRD pattern is calculated, not measured: it uses the PBE+U geometry in the Materials Project and Cu Kα, 1.54184 Å.

Most intense lines, 2θ = 5–70°, low angle first:
2θ 27.9, 3.194 Å, I = 46, hkl 0 0 4
2θ 29.6, 3.022 Å, I = 100, hkl 2 0 2
2θ 37.1, 2.425 Å, I = 44, hkl 2 2 0
2θ 47.0, 1.931 Å, I = 41, hkl 2 2 4
2θ 50.4, 1.809 Å, I = 27, hkl 2 0 6
2θ 62.2, 1.491 Å, I = 27, hkl 4 2 2

```
data_BaMoO2
_cell_length_a 6.8594
_cell_length_b 6.8594
_cell_length_c 12.7757
_cell_angle_alpha 90.00
_cell_angle_beta 90.00
_cell_angle_gamma 90.00
_space_group_name_H-M_alt 'I 41/a m d'
_space_group_IT_number 141
loop_
_space_group_symop_operation_xyz
'x,y,z'
'-x,-y,-z'
'-y+1/4,x+3/4,z+1/4'
'y+1/4,-x+3/4,-z+1/4'
'-x+1/2,-y,z+1/2'
'x+1/2,y,-z+1/2'
'y+1/4,-x+1/4,z+3/4'
'-y+1/4,x+1/4,-z+3/4'
'x,-y,-z'
'-x,y,z'
'-y+1/4,-x+1/4,-z+3/4'
'y+1/4,x+1/4,z+3/4'
'-x+1/2,y,-z+1/2'
'x+1/2,-y,z+1/2'
'y+1/4,x+3/4,-z+1/4'
'-y+1/4,-x+3/4,z+1/4'
'x+1/2,y+1/2,z+1/2'
'-x+1/2,-y+1/2,-z+1/2'
'-y+3/4,x+1/4,z+3/4'
'y+3/4,-x+1/4,-z+3/4'
'-x,-y+1/2,z'
'x,y+1/2,-z'
'y+3/4,-x+3/4,z+1/4'
'-y+3/4,x+3/4,-z+1/4'
'x+1/2,-y+1/2,-z+1/2'
'-x+1/2,y+1/2,z+1/2'
'-y+3/4,-x+3/4,-z+1/4'
'y+3/4,x+3/4,z+1/4'
'-x,y+1/2,-z'
'x,-y+1/2,z'
'y+3/4,x+1/4,-z+3/4'
'-y+3/4,-x+1/4,z+3/4'
loop_
_atom_site_label
_atom_site_type_symbol
_atom_site_fract_x
_atom_site_fract_y
_atom_site_fract_z
Ba1 Ba 0.0000 0.0000 0.0000
Mo1 Mo 0.0000 0.0000 0.5000
O1 O 0.0000 0.0465 0.2164
```

---

(6)
Diffraction record for BaMo3O10. The powder XRD pattern is calculated, not measured: it uses the PBE+U geometry in the Materials Project and Cu Kα, 1.54184 Å.

Most intense lines, 2θ = 5–70°, low angle first:
2θ 24.1, 3.694 Å, I = 37, hkl 0 0 4
2θ 26.3, 3.384 Å, I = 100, hkl 1 2 0
2θ 26.8, 3.330 Å, I = 34, hkl 0 1 4
2θ 28.0, 3.189 Å, I = 28, hkl 1 2 -2
2θ 30.0, 2.979 Å, I = 67, hkl 2 0 2
2θ 47.2, 1.926 Å, I = 28, hkl 0 4 0

```
data_BaMo3O10
_cell_length_a 7.2257
_cell_length_b 7.7026
_cell_length_c 15.0527
_cell_angle_alpha 90.00
_cell_angle_beta 101.04
_cell_angle_gamma 90.00
_space_group_name_H-M_alt 'P 1 21 1'
_space_group_IT_number 4
_space_group_name_Hall 'P 2yb'
loop_
_atom_site_label
_atom_site_type_symbol
_atom_site_fract_x
_atom_site_fract_y
_atom_site_fract_z
Ba1 Ba 0.1049 0.0000 0.4314
Ba2 Ba 0.3840 0.2557 0.0663
Mo1 Mo 0.0548 0.9838 0.8838
Mo2 Mo 0.0654 0.4955 0.8527
Mo3 Mo 0.1877 0.5001 0.3336
Mo4 Mo 0.3157 0.7564 0.1653
Mo5 Mo 0.4369 0.7568 0.6508
Mo6 Mo 0.4409 0.2678 0.6170
O1 O 0.0010 0.7499 0.1339
O2 O 0.0108 0.4953 0.0081
O3 O 0.0185 0.7430 0.8702
O4 O 0.0413 0.9909 0.7421
O5 O 0.0871 0.4993 0.7400
O6 O 0.1328 0.5096 0.4409
O7 O 0.1947 0.2407 0.5918
O8 O 0.2036 0.7732 0.5885
O9 O 0.2328 0.9902 0.1641
O10 O 0.2475 0.5155 0.1788
O11 O 0.2536 0.7416 0.3205
O12 O 0.2684 0.2641 0.3334
O13 O 0.3005 0.4905 0.9130
O14 O 0.3006 0.0102 0.9115
O15 O 0.3773 0.7454 0.0596
O16 O 0.4129 0.7515 0.7631
O17 O 0.4559 0.2632 0.7593
O18 O 0.4745 0.5101 0.6308
O19 O 0.4965 0.5051 0.3620
O20 O 0.4987 0.7556 0.4918
```